LiMgInPb3: theoretical X-ray powder pattern (Cu Ka), based on a crystal structure in Alexandria, relaxed with PBE.
Neutral-atom scattering factors, no anomalous dispersion.

Most intense lines, 15 to 90 degrees two-theta, by intensity:
2θ = 32.19°, 2.781 Å, I = 100
2θ = 36.85°, 2.439 Å, I = 68
2θ = 33.75°, 2.656 Å, I = 46
2θ = 33.01°, 2.714 Å, I = 42
2θ = 40.33°, 2.236 Å, I = 25
2θ = 26.81°, 3.326 Å, I = 24
2θ = 55.28°, 1.662 Å, I = 21
2θ = 56.26°, 1.635 Å, I = 19

Structure:
```
LiMgInPb3
1.0
9.4852 0.0000 0.0000
0.0000 3.5507 0.0000
-3.3523 0.0000 9.4968
Li Mg In Pb
2 2 2 6
direct
0.1284 0.2500 0.2882
0.8716 0.7500 0.7118
0.3718 0.7500 0.8647
0.6282 0.2500 0.1353
0.1056 0.2500 0.6180
0.8944 0.7500 0.3820
0.1164 0.2500 0.9339
0.3547 0.7500 0.5315
0.3695 0.7500 0.1943
0.6305 0.2500 0.8057
0.6453 0.2500 0.4685
0.8836 0.7500 0.0661
```


Li2PrMg2In2: theoretical X-ray powder pattern (Cu Ka), based on a crystal structure in Alexandria, relaxed with PBE.
Neutral-atom scattering factors, no anomalous dispersion.

Most intense lines, 15 to 90 degrees two-theta, by intensity:
2θ = 25.69°, 3.467 Å, I = 100
2θ = 37.35°, 2.408 Å, I = 47
2θ = 33.02°, 2.713 Å, I = 42
2θ = 35.95°, 2.498 Å, I = 42
2θ = 21.63°, 4.109 Å, I = 36
2θ = 37.48°, 2.400 Å, I = 23
2θ = 35.81°, 2.507 Å, I = 21
2θ = 52.81°, 1.734 Å, I = 20

Structure:
```
Li2PrMg2In2
1.0
4.1748 -2.3998 0.0000
4.1748 2.3998 0.0000
-2.7529 0.0000 8.3396
Li Pr Mg In
2 1 2 2
direct
0.0713 0.0713 0.2132
0.9287 0.9287 0.7868
0.5000 0.5000 0.5000
0.3642 0.3642 0.0918
0.6358 0.6358 0.9082
0.2414 0.2414 0.7250
0.7586 0.7586 0.2750
```


SrLiMg2In4: theoretical X-ray powder pattern (Cu Ka), based on a crystal structure in Alexandria, relaxed with PBE.
Neutral-atom scattering factors, no anomalous dispersion.

Most intense lines, 15 to 90 degrees two-theta, by intensity:
2θ = 35.82°, 2.507 Å, I = 100
2θ = 32.69°, 2.739 Å, I = 83
2θ = 24.06°, 3.698 Å, I = 64
2θ = 30.24°, 2.956 Å, I = 33
2θ = 49.28°, 1.849 Å, I = 26
2θ = 62.41°, 1.488 Å, I = 25
2θ = 61.61°, 1.505 Å, I = 23
2θ = 25.88°, 3.442 Å, I = 20

Structure:
```
SrLiMg2In4
1.0
2.5066 1.4472 9.4144
-2.5066 1.4472 9.4144
0.0000 -2.8944 9.4144
Sr Li Mg In
1 1 2 4
direct
0.0000 0.0000 0.0000
0.5000 0.5000 0.5000
0.2426 0.2426 0.2426
0.7574 0.7574 0.7574
0.1285 0.1285 0.1285
0.3953 0.3953 0.3953
0.6047 0.6047 0.6047
0.8715 0.8715 0.8715
```


Sr2Li2MgIn5: theoretical X-ray powder pattern (Cu Ka), based on a crystal structure in Alexandria, relaxed with PBE.
Neutral-atom scattering factors, no anomalous dispersion.

Most intense lines, 15 to 90 degrees two-theta, by intensity:
2θ = 33.24°, 2.695 Å, I = 100
2θ = 34.02°, 2.635 Å, I = 78
2θ = 27.54°, 3.239 Å, I = 59
2θ = 20.44°, 4.345 Å, I = 47
2θ = 36.28°, 2.476 Å, I = 41
2θ = 54.76°, 1.676 Å, I = 39
2θ = 31.07°, 2.878 Å, I = 39
2θ = 41.57°, 2.172 Å, I = 34

Structure:
```
Sr2Li2MgIn5
1.0
10.8662 0.0000 0.0000
0.0000 10.8662 0.0000
0.0000 0.0000 4.3446
Sr Li Mg In
4 4 2 10
direct
0.1829 0.3171 0.0000
0.3171 0.8171 0.0000
0.6829 0.1829 0.0000
0.8171 0.6829 0.0000
0.1137 0.6137 0.0000
0.3863 0.1137 0.0000
0.6137 0.8863 0.0000
0.8863 0.3863 0.0000
0.0000 0.0000 0.0000
0.5000 0.5000 0.0000
0.0000 0.5000 0.5000
0.0553 0.7978 0.5000
0.2022 0.0553 0.5000
0.2978 0.5553 0.5000
0.4447 0.2978 0.5000
0.5000 0.0000 0.5000
0.5553 0.7022 0.5000
0.7022 0.4447 0.5000
0.7978 0.9447 0.5000
0.9447 0.2022 0.5000
```


LiIn2Mo2: theoretical X-ray powder pattern (Cu Ka), based on a crystal structure in Alexandria, relaxed with PBE.
Neutral-atom scattering factors, no anomalous dispersion.

Most intense lines, 15 to 90 degrees two-theta, by intensity:
2θ = 24.78°, 3.593 Å, I = 100
2θ = 42.41°, 2.131 Å, I = 95
2θ = 36.41°, 2.468 Å, I = 82
2θ = 39.21°, 2.298 Å, I = 49
2θ = 49.16°, 1.853 Å, I = 41
2θ = 36.83°, 2.440 Å, I = 39
2θ = 62.97°, 1.476 Å, I = 31
2θ = 87.35°, 1.116 Å, I = 24

Structure:
```
LiIn2Mo2
1.0
-1.8534 1.8534 7.3209
1.8534 -1.8534 7.3209
1.8534 1.8534 -7.3209
Li In Mo
1 2 2
direct
0.0000 0.0000 0.0000
0.4020 0.4020 0.0000
0.5980 0.5980 0.0000
0.2500 0.7500 0.5000
0.7500 0.2500 0.5000
```